No. 1
Diffraction record for SrC8N6. The X-ray powder pattern is simulated, not measured: it uses DFT lattice parameters and positions (GGA-PBE) and λ = 1.5418 Å (Cu Kα).
No peak broadening, texture or thermal motion is included.

Principal peaks in the range 10° ≤ 2θ ≤ 90°, by intensity:
d_spacing, Rel. int., h k l
4.411, 100, 1 1 1
4.087, 54, 0 1 2
6.821, 49, 1 0 1
2.938, 41, 2 1 2
2.385, 32, 2 2 0
3.504, 28, 1 0 3
2.205, 27, 2 2 2
2.230, 26, 1 0 5
3.205, 25, 0 1 3
2.473, 19, 3 1 1

Atomic structure:
abc: 8.451 5.783 11.554
angles: 90.00 90.00 90.00
Space group Pmna (No. 53)
One atom of each set of equivalent atoms:
Sr: 0.000 0.000 0.000
C: 0.000 0.407 0.338
C: 0.000 0.414 0.744
C: 0.143 0.313 0.378
N: 0.000 0.266 0.813
N: 0.239 0.233 0.087

***

No. 2
Diffraction record for Ta2C3N6. The X-ray powder pattern is simulated, not measured: it uses DFT lattice parameters and positions (GGA-PBE) and λ = 1.5418 Å (Cu Kα).
No peak broadening, texture or thermal motion is included.

Principal peaks in the range 10° ≤ 2θ ≤ 90°, by intensity:
d_spacing, Rel. int., h k l
2.376, 100, 1 1 6
5.104, 79, 0 0 6
4.449, 64, 0 1 2
1.850, 53, 1 1 12
2.685, 45, 1 1 0
3.974, 44, 1 0 4
2.555, 24, 0 0 12
2.955, 22, 0 1 8
1.437, 20, 1 1 18
1.550, 18, 3 0 0

Atomic structure:
abc: 5.3693 5.3693 30.6257
angles: 90.00 90.00 120.00
Space group R-3c (No. 167, hexagonal axes)
One atom of each set of equivalent atoms:
Ta: 0.0000 0.0000 0.1675
C: 0.0000 0.3308 0.2500
N: 0.0097 0.3673 0.5433

***

No. 3
Diffraction record for TbC3N6. The X-ray powder pattern is simulated, not measured: it uses DFT lattice parameters and positions (GGA-PBE) and λ = 1.5418 Å (Cu Kα).
No peak broadening, texture or thermal motion is included.

Principal peaks in the range 10° ≤ 2θ ≤ 90°, by intensity:
d_spacing, Rel. int., h k l
5.643, 100, 1 1 0
2.638, 33, 2 1 1
3.517, 27, 1 0 1
2.822, 27, 2 2 0
2.985, 26, 0 2 1
2.201, 23, 1 3 1
1.927, 16, 3 2 1
2.133, 14, 4 1 0
3.258, 13, 3 0 0
1.851, 10, 0 1 2

Atomic structure:
abc: 11.2867 11.2867 3.7694
angles: 90.00 90.00 120.00
Space group R3m (No. 160, hexagonal axes)
One atom of each set of equivalent atoms:
Tb: 0.0000 0.0000 0.0000
C: 0.1838 0.3676 0.1077
N: 0.0872 0.5436 0.7059
N: 0.1740 0.0870 0.4990

***

No. 4
Diffraction record for TbCN2. The X-ray powder pattern is simulated, not measured: it uses DFT lattice parameters and positions (GGA-PBE) and λ = 1.5418 Å (Cu Kα).
No peak broadening, texture or thermal motion is included.

Principal peaks in the range 10° ≤ 2θ ≤ 90°, by intensity:
d_spacing, Rel. int., h k l
3.804, 100, 2 0 1
2.953, 82, 0 1 1
2.071, 54, 4 1 1
3.089, 50, 2 1 0
2.906, 40, 4 0 0
1.951, 34, 2 1 2
1.644, 20, 2 2 1
1.824, 18, 0 2 0
1.545, 17, 4 2 0
2.516, 15, 0 0 2

Atomic structure:
abc: 11.624 3.647 5.031
angles: 90.00 90.00 90.00
Space group Pnma (No. 62)
One atom of each set of equivalent atoms:
Tb: 0.114 0.250 0.202
C: 0.115 0.750 0.647
N: 0.087 0.750 0.894
N: 0.196 0.750 0.473

***

No. 5
Diffraction record for Th3CN. The X-ray powder pattern is simulated, not measured: it uses DFT lattice parameters and positions (GGA-PBE) and λ = 1.5418 Å (Cu Kα).
No peak broadening, texture or thermal motion is included.

Principal peaks in the range 10° ≤ 2θ ≤ 90°, by intensity:
d_spacing, Rel. int., h k l
2.812, 100, 1 3 1
3.130, 39, 0 6 0
1.739, 24, 1 9 1
2.978, 23, 0 2 2
2.610, 23, 0 4 2
1.806, 19, 1 1 3
3.104, 17, 1 1 1
1.573, 14, 2 6 0
1.503, 12, 1 7 3
3.140, 12, 0 0 2

Atomic structure:
abc: 3.636 18.780 6.280
angles: 90.00 90.00 90.00
Space group Cmc2_1 (No. 36)
One atom of each set of equivalent atoms:
Th: 0.000 0.088 0.000
Th: 0.000 0.250 0.331
Th: 0.000 0.411 0.002
C: 0.000 0.337 0.668
N: 0.000 0.165 0.661

***

No. 6
Diffraction record for Th7C5N. The X-ray powder pattern is simulated, not measured: it uses DFT lattice parameters and positions (GGA-PBE) and λ = 1.5418 Å (Cu Kα).
No peak broadening, texture or thermal motion is included.

Principal peaks in the range 10° ≤ 2θ ≤ 90°, by intensity:
d_spacing, Rel. int., h k l
3.022, 100, 1 1 4
3.232, 73, 2 0 -6
2.875, 64, 2 0 -7
3.077, 62, 4 0 1
2.847, 57, 2 0 7
2.689, 43, 3 1 2
2.699, 36, 3 1 -2
1.869, 30, 0 2 0
2.610, 30, 3 1 -3
1.562, 30, 2 2 7

Atomic structure:
abc: 12.426 3.737 22.562
angles: 90.00 90.67 90.00
Space group Cm (No. 8)
One atom of each set of equivalent atoms:
Th: 0.000 0.000 0.000
Th: 0.001 0.000 0.571
Th: 0.055 0.500 0.143
Th: 0.056 0.500 0.433
Th: 0.098 0.000 0.283
Th: 0.180 0.000 0.789
Th: 0.222 0.500 0.929
Th: 0.224 0.500 0.639
Th: 0.276 0.000 0.073
Th: 0.280 0.000 0.501
Th: 0.321 0.500 0.363
Th: 0.332 0.500 0.212
Th: 0.445 0.000 0.860
Th: 0.459 0.000 0.709
C: 0.082 0.000 0.680
C: 0.087 0.000 0.889
C: 0.138 0.500 0.036
C: 0.140 0.500 0.536
C: 0.190 0.000 0.183
C: 0.199 0.000 0.392
C: 0.367 0.000 0.612
C: 0.368 0.000 0.959
C: 0.409 0.500 0.113
C: 0.413 0.500 0.460
N: 0.294 0.500 0.826
N: 0.482 0.000 0.247

***

No. 7
Diffraction record for YThCN. The X-ray powder pattern is simulated, not measured: it uses DFT lattice parameters and positions (GGA-PBE) and λ = 1.5418 Å (Cu Kα).
No peak broadening, texture or thermal motion is included.

Principal peaks in the range 10° ≤ 2θ ≤ 90°, by intensity:
d_spacing, Rel. int., h k l
2.969, 100, 1 0 1
2.581, 47, 1 1 0
1.815, 33, 1 1 2
1.555, 31, 2 1 1
2.554, 23, 0 0 2
5.107, 19, 0 0 1
1.485, 17, 2 0 2
1.825, 17, 2 0 0
3.650, 16, 1 0 0
1.543, 15, 1 0 3

Atomic structure:
abc: 3.650 3.650 5.107
angles: 90.00 90.00 90.00
Space group P4/mmm (No. 123)
One atom of each set of equivalent atoms:
Y: 0.000 0.000 0.000
Th: 0.500 0.500 0.500
C: 0.500 0.500 0.000
N: 0.000 0.000 0.500

***

No. 8
Diffraction record for Ti4C2N. The X-ray powder pattern is simulated, not measured: it uses DFT lattice parameters and positions (GGA-PBE) and λ = 1.5418 Å (Cu Kα).
No peak broadening, texture or thermal motion is included.

Principal peaks in the range 10° ≤ 2θ ≤ 90°, by intensity:
d_spacing, Rel. int., h k l
2.274, 100, 0 2 4
2.192, 61, 1 3 1
2.055, 43, 1 3 2
2.520, 43, 1 1 2
2.206, 34, 1 1 3
2.509, 31, 0 4 0
1.501, 31, 0 6 3
1.260, 27, 2 2 4
1.514, 17, 2 0 0
2.788, 15, 1 1 1

Atomic structure:
abc: 3.028 10.037 10.201
angles: 90.00 90.00 90.00
Space group Cmcm (No. 63)
One atom of each set of equivalent atoms:
Ti: 0.000 0.000 0.000
Ti: 0.000 0.272 0.118
Ti: 0.000 0.460 0.750
C: 0.000 0.363 0.567
N: 0.000 0.101 0.750